Structure and simulated powder X-ray diffraction pattern of NbCoSb (the PBE geometry in the Materials Project; Cu Kα (λ = 1.5418 Å)).
Lines closer than 0.1° are merged.

Main lines, by intensity (2θ = 10–90°):
42.73 deg, d = 2.116 Å, I = 100, hkl 2 2 0; 29.86 deg, d = 2.992 Å, I = 41, hkl 2 0 0; 78.25 deg, d = 1.222 Å, I = 32, hkl 4 2 2; 62.03 deg, d = 1.496 Å, I = 16, hkl 4 0 0; 25.78 deg, d = 3.455 Å, I = 15, hkl 1 1 1; 70.35 deg, d = 1.338 Å, I = 14, hkl 4 2 0; 53.00 deg, d = 1.728 Å, I = 11, hkl 2 2 2; 50.58 deg, d = 1.805 Å, I = 7, hkl 3 1 1; 68.32 deg, d = 1.373 Å, I = 3, hkl 3 3 1; 84.03 deg, d = 1.152 Å, I = 2, hkl 5 1 1

Structure:
```
data_NbCoSb
_chemical_formula_sum 'Nb4 Co4 Sb4'
_symmetry_space_group_name_H-M 'F -4 3 m'
_symmetry_Int_Tables_number 216
_symmetry_space_group_name_Hall 'F -4 2 3'
_cell_length_a 5.9849
_cell_length_b 5.9849
_cell_length_c 5.9849
_cell_angle_alpha 90.00
_cell_angle_beta 90.00
_cell_angle_gamma 90.00
loop_
_atom_site_label
_atom_site_fract_x
_atom_site_fract_y
_atom_site_fract_z
Nb1 0.0000 0.0000 0.0000
Co1 0.2500 0.2500 0.2500
Sb1 0.0000 0.0000 0.5000
```


Structure and simulated powder X-ray diffraction pattern of Sr2ZrGeO6 (the PBE geometry in the Materials Project; Cu Kα (λ = 1.5418 Å)).
Lines closer than 0.1° are merged.

Main lines, by intensity (2θ = 10–90°):
31.53 deg, d = 2.838 Å, I = 100, hkl 2 2 0; 56.14 deg, d = 1.638 Å, I = 39, hkl 4 2 2; 45.19 deg, d = 2.006 Å, I = 36, hkl 4 0 0; 65.83 deg, d = 1.419 Å, I = 21, hkl 4 4 0; 74.82 deg, d = 1.269 Å, I = 17, hkl 6 2 0; 83.44 deg, d = 1.158 Å, I = 7, hkl 4 4 4; 38.87 deg, d = 2.317 Å, I = 4, hkl 2 2 2; 22.15 deg, d = 4.013 Å, I = 1, hkl 2 0 0; 79.16 deg, d = 1.210 Å, I = 1, hkl 6 2 2; 37.15 deg, d = 2.420 Å, I = 1, hkl 3 1 1

Structure:
```
data_Sr2ZrGeO6
_chemical_formula_sum 'Sr8 Zr4 Ge4 O24'
_symmetry_space_group_name_H-M 'F m -3 m'
_symmetry_Int_Tables_number 225
_symmetry_space_group_name_Hall '-F 4 2 3'
_cell_length_a 8.0257
_cell_length_b 8.0257
_cell_length_c 8.0257
_cell_angle_alpha 90.00
_cell_angle_beta 90.00
_cell_angle_gamma 90.00
loop_
_atom_site_label
_atom_site_fract_x
_atom_site_fract_y
_atom_site_fract_z
Sr1 0.2500 0.2500 0.2500
Zr1 0.0000 0.0000 0.0000
Ge1 0.0000 0.0000 0.5000
O1 0.0000 0.0000 0.2608
```


Structure and simulated powder X-ray diffraction pattern of MoPt3 (the PBE geometry in the Materials Project; Cu Kα (λ = 1.5418 Å)).
Lines closer than 0.1° are merged.

Main lines, by intensity (2θ = 10–90°):
42.18 deg, d = 2.142 Å, I = 100, hkl 1 1 1; 41.86 deg, d = 2.158 Å, I = 61, hkl 0 1 2; 39.48 deg, d = 2.282 Å, I = 43, hkl 0 2 0; 37.05 deg, d = 2.426 Å, I = 32, hkl 1 0 1; 80.01 deg, d = 1.199 Å, I = 22, hkl 1 2 3; 55.26 deg, d = 1.662 Å, I = 21, hkl 1 2 1; 73.46 deg, d = 1.289 Å, I = 20, hkl 1 3 1; 82.23 deg, d = 1.172 Å, I = 18, hkl 2 1 2; 66.32 deg, d = 1.409 Å, I = 18, hkl 1 0 3; 73.24 deg, d = 1.292 Å, I = 12, hkl 0 3 2; 80.66 deg, d = 1.191 Å, I = 11, hkl 2 2 0; 67.02 deg, d = 1.396 Å, I = 9, hkl 2 0 0

Structure:
```
data_MoPt3
_chemical_formula_sum 'Mo1 Pt3'
_symmetry_space_group_name_H-M 'P m m 2'
_symmetry_Int_Tables_number 25
_symmetry_space_group_name_Hall 'P 2 -2'
_cell_length_a 2.7929
_cell_length_b 4.5647
_cell_length_c 4.8978
_cell_angle_alpha 90.00
_cell_angle_beta 90.00
_cell_angle_gamma 90.00
loop_
_atom_site_label
_atom_site_fract_x
_atom_site_fract_y
_atom_site_fract_z
Mo1 0.0000 0.0000 0.0000
Pt1 0.0000 0.5000 0.6886
Pt2 0.5000 0.0000 0.4980
Pt3 0.5000 0.5000 0.1795
```


Structure and simulated powder X-ray diffraction pattern of NiGeMo (the PBE geometry in the Materials Project; Cu Kα (λ = 1.5418 Å)).
Lines closer than 0.1° are merged.

Main lines, by intensity (2θ = 10–90°):
44.07 deg, d = 2.055 Å, I = 100, hkl 2 1 3; 43.50 deg, d = 2.081 Å, I = 84, hkl 1 2 2; 40.30 deg, d = 2.238 Å, I = 78, hkl 3 1 1; 42.45 deg, d = 2.129 Å, I = 55, hkl 2 2 0; 37.29 deg, d = 2.412 Å, I = 45, hkl 0 1 3; 40.87 deg, d = 2.208 Å, I = 42, hkl 3 0 2; 74.78 deg, d = 1.270 Å, I = 28, hkl 5 2 2; 35.42 deg, d = 2.534 Å, I = 23, hkl 0 2 0; 45.61 deg, d = 1.989 Å, I = 22, hkl 1 0 4; 69.61 deg, d = 1.351 Å, I = 22, hkl 2 3 3; 79.49 deg, d = 1.206 Å, I = 18, hkl 0 2 6; 46.25 deg, d = 1.963 Å, I = 18, hkl 4 0 0

Structure:
```
data_NiGeMo
_chemical_formula_sum 'Ni8 Ge8 Mo8'
_symmetry_space_group_name_H-M 'A m m 2'
_symmetry_Int_Tables_number 38
_symmetry_space_group_name_Hall 'A 2 -2'
_cell_length_a 7.8510
_cell_length_b 5.0690
_cell_length_c 8.2251
_cell_angle_alpha 90.00
_cell_angle_beta 90.00
_cell_angle_gamma 90.00
loop_
_atom_site_label
_atom_site_fract_x
_atom_site_fract_y
_atom_site_fract_z
Ni1 0.0000 0.0000 0.0000
Ni2 0.0000 0.2305 0.2419
Ni3 0.5000 0.0000 0.6868
Ge1 0.2245 0.0000 0.8157
Ge2 0.5000 0.2427 0.4352
Mo1 0.1804 0.0000 0.4901
Mo2 0.3080 0.0000 0.1722
```